Record 1
Computed X-ray diffraction stick pattern
Compound: ZrReSi2
Radiation: a wavelength of 1.5418 Å
Structure: a crystal structure in Alexandria, relaxed with GGA-PBE
Intensities are scaled so that the largest is 100.

Principal peaks in the range 10° ≤ 2θ ≤ 80°, by angle:
2θ/deg	d (Å)	I/Imax	h k l
22.00	4.041	81.8	0 0 2
30.63	2.919	39.8	2 1 2
37.68	2.387	60.5	3 1 2
39.83	2.263	100.0	2 3 2
42.05	2.149	54.4	0 4 2
44.86	2.020	34.5	0 0 4

Crystal structure
Cell: 9.280 10.150 8.081 Å, 90.00 90.00 90.00°
Space group Pbam (No. 55)
One atom of each set of equivalent atoms:
Zr 0.171 0.179 0.000 x4
Zr 0.174 0.451 0.247 x8
Re 0.000 0.000 0.245 x4
Re 0.085 0.742 0.251 x8
Si 0.035 0.616 0.000 x4
Si 0.036 0.614 0.500 x4
Si 0.126 0.906 0.500 x4
Si 0.131 0.898 0.000 x4
Si 0.167 0.181 0.354 x8

Record 2
Computed X-ray diffraction stick pattern
Compound: SmTmRe
Radiation: a wavelength of 1.5418 Å
Structure: a crystal structure in Alexandria, relaxed with GGA-PBE
Intensities are scaled so that the largest is 100.

Principal peaks in the range 10° ≤ 2θ ≤ 80°, by angle:
2θ/deg	d (Å)	I/Imax	h k l
18.75	4.733	86.1	1 1 1
31.38	2.851	51.1	0 4 1
32.18	2.782	83.3	2 2 1
34.97	2.566	100.0	2 0 2
37.58	2.393	61.2	0 2 3
40.81	2.211	88.0	1 5 1

Crystal structure
Cell: 6.815 12.251 7.799 Å, 90.00 90.00 90.00°
Space group Cmce (No. 64)
One atom of each set of equivalent atoms:
Sm 0.000 0.193 0.112 x8
Tm 0.250 0.046 0.750 x8
Re 0.000 0.095 0.457 x8

Record 3
Computed X-ray diffraction stick pattern
Compound: ReSn
Radiation: a wavelength of 1.5418 Å
Structure: a crystal structure in Alexandria, relaxed with GGA-PBE
Intensities are scaled so that the largest is 100.

Principal peaks in the range 10° ≤ 2θ ≤ 80°, by angle:
2θ/deg	d (Å)	I/Imax	h k l
15.32	5.784	76.1	0 1 1
33.40	2.683	74.2	1 1 1
39.93	2.258	50.4	0 5 1
40.43	2.231	100.0	1 0 2
40.62	2.221	72.4	0 4 2
50.41	1.810	51.7	1 5 1

Crystal structure
Cell: 3.029 12.013 6.599 Å, 90.00 90.00 90.00°
Space group Amm2 (No. 38)
One atom of each set of equivalent atoms:
Re 0.000 0.000 0.000 x2
Re 0.500 0.108 0.732 x4
Sn 0.000 0.229 0.031 x4
Sn 0.500 0.000 0.358 x2

Record 4
Computed X-ray diffraction stick pattern
Compound: Th4ReSn
Radiation: a wavelength of 1.5418 Å
Structure: a crystal structure in Alexandria, relaxed with GGA-PBE
Intensities are scaled so that the largest is 100.

Principal peaks in the range 10° ≤ 2θ ≤ 80°, by angle:
2θ/deg	d (Å)	I/Imax	h k l
30.37	2.943	100.0	2 1 1
33.63	2.665	25.7	1 1 2
37.79	2.381	31.1	2 0 2
38.01	2.368	35.0	3 1 0
52.20	1.752	22.8	2 1 3
60.44	1.532	19.5	3 3 2

Crystal structure
Cell: 7.487 7.487 6.169 Å, 90.00 90.00 90.00°
Space group P4/mcc (No. 124)
One atom of each set of equivalent atoms:
Th 0.142 0.318 0.000 x8
Re 0.000 0.000 0.250 x2
Sn 0.500 0.500 0.250 x2